# 1
Theoretical XRD peak list of Sm5Ni2Au2 for Cu Kα (λ = 1.5418 Å), from the PBE geometry in Alexandria.
Lines closer than 0.1° are merged.

Structure:
a b c (Å): 15.759 7.336 7.720
angles (deg): 90.00 90.00 90.00
Space group Cmce (No. 64)
Inequivalent atoms, fractional coordinates:
Sm  0.000  0.000  0.000 x4
Sm  0.130  0.170  0.323 x16
Ni  0.000  0.117  0.617 x8
Au  0.210  0.000  0.000 x8

Most intense lines, 10 to 80 degrees two-theta, by intensity:
(4 0 2), d = 2.757 Å, rel. 100
(5 1 1), d = 2.711 Å, rel. 98
(0 2 2), d = 2.659 Å, rel. 92
(4 2 1), d = 2.536 Å, rel. 84
(4 2 0), d = 2.685 Å, rel. 84
(3 1 2), d = 2.864 Å, rel. 69
(1 1 3), d = 2.400 Å, rel. 62
(1 3 1), d = 2.306 Å, rel. 53
(5 3 3), d = 1.545 Å, rel. 44
(0 2 1), d = 3.313 Å, rel. 40
(7 1 1), d = 2.073 Å, rel. 29
(7 3 3), d = 1.393 Å, rel. 28

# 2
Theoretical XRD peak list of Li4Al2Cd for Cu Kα (λ = 1.5418 Å), from the PBE geometry in Alexandria.
Lines closer than 0.1° are merged.

Structure:
a b c (Å): 5.565 8.281 5.661
angles (deg): 90.00 90.00 90.00
Space group Imm2 (No. 44)
Inequivalent atoms, fractional coordinates:
Li  0.247  0.244  0.000 x8
Al  0.000  0.000  0.274 x2
Al  0.000  0.500  0.750 x2
Cd  0.000  0.500  0.245 x2

Most intense lines, 10 to 80 degrees two-theta, by intensity:
(1 1 0), d = 4.619 Å, rel. 100
(1 0 1), d = 3.969 Å, rel. 69
(0 2 0), d = 4.141 Å, rel. 65
(1 2 1), d = 2.865 Å, rel. 60
(0 2 2), d = 2.337 Å, rel. 45
(2 2 0), d = 2.310 Å, rel. 44
(1 1 2), d = 2.413 Å, rel. 38
(2 2 2), d = 1.789 Å, rel. 30
(2 0 2), d = 1.984 Å, rel. 27
(0 1 1), d = 4.673 Å, rel. 27
(0 0 2), d = 2.830 Å, rel. 24
(2 0 0), d = 2.783 Å, rel. 23

# 3
Theoretical XRD peak list of PrDyYTl for Cu Kα (λ = 1.5418 Å), from the PBE geometry in Alexandria.
Lines closer than 0.1° are merged.

Structure:
a b c (Å): 4.855 4.906 5.001
angles (deg): 90.00 90.00 90.00
Space group Pmmm (No. 47)
Inequivalent atoms, fractional coordinates:
Pr  0.000  0.000  0.000 x1
Dy  0.500  0.500  0.000 x1
Y  0.500  0.000  0.500 x1
Tl  0.000  0.500  0.500 x1

Most intense lines, 10 to 80 degrees two-theta, by intensity:
(1 1 1), d = 2.840 Å, rel. 100
(0 0 2), d = 2.501 Å, rel. 18
(0 2 0), d = 2.453 Å, rel. 17
(2 0 0), d = 2.427 Å, rel. 16
(1 1 3), d = 1.501 Å, rel. 15
(1 3 1), d = 1.480 Å, rel. 14
(3 1 1), d = 1.469 Å, rel. 14
(0 2 2), d = 1.751 Å, rel. 12
(2 2 2), d = 1.420 Å, rel. 12
(2 0 2), d = 1.742 Å, rel. 12
(2 2 0), d = 1.725 Å, rel. 12
(0 1 0), d = 4.906 Å, rel. 4

# 4
Theoretical XRD peak list of Ac3Sn5 for Cu Kα (λ = 1.5418 Å), from the PBE geometry in Alexandria.
Lines closer than 0.1° are merged.

Structure:
a b c (Å): 4.833 4.951 10.765
angles (deg): 90.00 90.00 90.00
Space group Pmmm (No. 47)
Inequivalent atoms, fractional coordinates:
Ac  0.000  0.000  0.000 x1
Ac  0.500  0.000  0.283 x2
Sn  0.000  0.000  0.500 x1
Sn  0.000  0.500  0.238 x2
Sn  0.500  0.500  0.000 x1
Sn  0.500  0.500  0.500 x1

Most intense lines, 10 to 80 degrees two-theta, by intensity:
(1 1 2), d = 2.909 Å, rel. 100
(0 2 0), d = 2.476 Å, rel. 16
(0 0 4), d = 2.691 Å, rel. 16
(2 0 0), d = 2.416 Å, rel. 15
(1 3 2), d = 1.500 Å, rel. 14
(3 1 2), d = 1.473 Å, rel. 13
(2 2 0), d = 1.729 Å, rel. 11
(0 2 4), d = 1.822 Å, rel. 10
(2 2 4), d = 1.455 Å, rel. 10
(1 1 6), d = 1.593 Å, rel. 10
(2 0 4), d = 1.798 Å, rel. 10
(0 0 3), d = 3.593 Å, rel. 6

# 5
Theoretical XRD peak list of NdY5Ho3 for Cu Kα (λ = 1.5418 Å), from the PBE geometry in Alexandria.
Lines closer than 0.1° are merged.

Structure:
a b c (Å): 8.622 8.622 15.648
angles (deg): 90.00 90.00 90.00
Space group I4/mcm (No. 140)
Inequivalent atoms, fractional coordinates:
Nd  0.000  0.500  0.250 x4
Y  0.000  0.000  0.000 x4
Y  0.202  0.298  0.136 x16
Ho  0.000  0.000  0.250 x4
Ho  0.119  0.381  0.500 x8

Most intense lines, 10 to 80 degrees two-theta, by intensity:
(2 0 4), d = 2.897 Å, rel. 100
(2 1 3), d = 3.101 Å, rel. 71
(2 2 0), d = 3.048 Å, rel. 47
(3 2 1), d = 2.364 Å, rel. 26
(4 0 2), d = 2.078 Å, rel. 24
(2 1 5), d = 2.430 Å, rel. 23
(3 1 0), d = 2.727 Å, rel. 20
(4 2 4), d = 1.729 Å, rel. 19
(0 0 8), d = 1.956 Å, rel. 17
(5 1 4), d = 1.552 Å, rel. 15
(0 0 4), d = 3.912 Å, rel. 15
(2 2 8), d = 1.646 Å, rel. 13

# 6
Theoretical XRD peak list of PmInBr4 for Cu Kα (λ = 1.5418 Å), from the PBE geometry in Alexandria.
Lines closer than 0.1° are merged.

Structure:
a b c (Å): 8.662 9.659 13.656
angles (deg): 90.00 90.00 90.00
Space group Imma (No. 74)
Inequivalent atoms, fractional coordinates:
Pm  0.250  0.250  0.250 x4
In  0.000  0.000  0.000 x4
Br  0.000  0.045  0.248 x8
Br  0.249  0.250  0.457 x8

Most intense lines, 10 to 80 degrees two-theta, by intensity:
(0 1 1), d = 7.886 Å, rel. 100
(2 2 0), d = 3.224 Å, rel. 72
(2 2 4), d = 2.344 Å, rel. 43
(0 0 4), d = 3.414 Å, rel. 33
(2 3 1), d = 2.539 Å, rel. 23
(1 0 1), d = 7.315 Å, rel. 21
(2 3 5), d = 1.877 Å, rel. 17
(0 1 5), d = 2.628 Å, rel. 17
(1 2 1), d = 4.030 Å, rel. 16
(2 1 5), d = 2.247 Å, rel. 15
(2 1 1), d = 3.796 Å, rel. 14
(4 0 0), d = 2.166 Å, rel. 13